Entry 1:
This entry pairs a crystal structure of LiCoP4O12 with its theoretical PXRD pattern. Radiation: copper Kα. Structure: the PBE+U geometry in Alexandria.
No peak broadening, texture or thermal motion is included.

Cell and atoms:
abc: 5.7482 6.7693 7.4514
angles: 71.51 89.70 74.47
Space group P1 (No. 1)
Unique sites:
Li 0.0000 0.0000 0.0000 [1 per cell]
Co 0.4749 0.6446 0.5261 [1 per cell]
P 0.1676 0.4290 0.3482 [1 per cell]
P 0.3407 0.2160 0.7503 [1 per cell]
P 0.5806 0.0811 0.2957 [1 per cell]
P 0.7599 0.8789 0.6934 [1 per cell]
O 0.1850 0.2532 0.5562 [1 per cell]
O 0.1862 0.2044 0.9094 [1 per cell]
O 0.2361 0.6266 0.3723 [1 per cell]
O 0.3921 0.3165 0.2485 [1 per cell]
O 0.4255 0.9202 0.3559 [1 per cell]
O 0.4968 0.3763 0.7057 [1 per cell]
O 0.5219 0.9778 0.7858 [1 per cell]
O 0.7242 0.6704 0.6694 [1 per cell]
O 0.7335 0.0724 0.1383 [1 per cell]
O 0.7398 0.0567 0.4846 [1 per cell]
O 0.9297 0.4850 0.2444 [1 per cell]
O 0.9833 0.8567 0.8044 [1 per cell]

Main lines, in order of rising 2θ (2θ = 10–90°):
d (Å)	I (rel.)
7.040	100
5.517	39
4.840	37
4.539	24
4.028	25
3.623	92
3.168	19
3.129	27
3.086	25
2.921	21
2.629	14
2.275	15



Entry 2:
This entry pairs a crystal structure of Li2CoP2O7 with its theoretical PXRD pattern. Radiation: copper Kα. Structure: the PBE+U geometry in Alexandria.
No peak broadening, texture or thermal motion is included.

Cell and atoms:
abc: 15.5271 5.0158 8.8928
angles: 90.00 115.32 90.00
Space group C2/c (No. 15)
Unique sites:
Li 0.1898 0.1464 0.0533 [8 per cell]
Co 0.0000 0.0000 0.0000 [4 per cell]
P 0.1026 0.3593 0.3164 [8 per cell]
O 0.0000 0.4833 0.7500 [4 per cell]
O 0.1002 0.1480 0.4408 [8 per cell]
O 0.1053 0.2248 0.1622 [8 per cell]
O 0.1783 0.4306 0.8922 [8 per cell]

Main lines, in order of rising 2θ (2θ = 10–90°):
d (Å)	I (rel.)
7.018	99
4.355	33
3.838	26
3.482	14
3.421	26
3.305	100
3.133	23
2.633	13
2.196	13
2.130	15
2.040	14
1.758	13



Entry 3:
This entry pairs a crystal structure of Li2CoP2O7 with its theoretical PXRD pattern. Radiation: copper Kα. Structure: the PBE+U geometry in Alexandria.
No peak broadening, texture or thermal motion is included.

Cell and atoms:
abc: 8.9350 4.8396 12.6150
angles: 90.00 99.37 90.00
Space group Cc (No. 9)
Unique sites:
Li 0.0000 0.2111 0.0000 [4 per cell]
Li 0.2130 0.2475 0.6763 [4 per cell]
Co 0.1416 0.2356 0.3862 [4 per cell]
P 0.3375 0.2429 0.0370 [4 per cell]
P 0.4384 0.1984 0.2712 [4 per cell]
O 0.0672 0.5002 0.2541 [4 per cell]
O 0.2081 0.0383 0.0444 [4 per cell]
O 0.2888 0.4880 0.4793 [4 per cell]
O 0.2944 0.0502 0.2923 [4 per cell]
O 0.3921 0.3716 0.1591 [4 per cell]
O 0.4782 0.1095 0.0043 [4 per cell]
O 0.4934 0.4234 0.3520 [4 per cell]

Main lines, in order of rising 2θ (2θ = 10–90°):
d (Å)	I (rel.)
6.223	26
3.918	100
2.857	29
2.763	7
2.531	27
2.451	7
2.420	15
2.367	6
2.224	10
1.820	6
1.692	7
1.532	7



Entry 4:
This entry pairs a crystal structure of Li2CoP4O12 with its theoretical PXRD pattern. Radiation: copper Kα. Structure: the PBE+U geometry in Alexandria.
No peak broadening, texture or thermal motion is included.

Cell and atoms:
abc: 5.3354 7.0877 7.2149
angles: 108.67 94.02 106.71
Space group P-1 (No. 2)
Unique sites:
Li 0.1476 0.2221 0.0615 [2 per cell]
Co 0.5000 0.5000 0.5000 [1 per cell]
P 0.1817 0.7131 0.2912 [2 per cell]
P 0.3647 0.9228 0.7277 [2 per cell]
O 0.0630 0.3142 0.8382 [2 per cell]
O 0.1820 0.8621 0.5147 [2 per cell]
O 0.1931 0.9386 0.8820 [2 per cell]
O 0.2345 0.5160 0.3026 [2 per cell]
O 0.4473 0.8417 0.2331 [2 per cell]
O 0.4702 0.2237 0.2962 [2 per cell]

Main lines, in order of rising 2θ (2θ = 10–90°):
d (Å)	I (rel.)
6.725	42
5.028	17
4.776	29
4.424	27
3.963	19
3.539	100
3.364	18
3.209	22
3.197	23
2.886	28
2.630	20
2.261	14



Entry 5:
This entry pairs a crystal structure of LiCo2P2O8 with its theoretical PXRD pattern. Radiation: copper Kα. Structure: the PBE+U geometry in Alexandria.
No peak broadening, texture or thermal motion is included.

Cell and atoms:
abc: 5.0970 6.9919 10.0718
angles: 90.00 92.61 90.00
Space group Pc (No. 7)
Unique sites:
Li 0.0000 0.2472 0.0000 [2 per cell]
Co 0.0247 0.2572 0.5590 [2 per cell]
Co 0.5137 0.2697 0.2088 [2 per cell]
P 0.0171 0.0264 0.2878 [2 per cell]
P 0.5197 0.4803 0.4754 [2 per cell]
O 0.3136 0.0718 0.2688 [2 per cell]
O 0.3965 0.3276 0.0295 [2 per cell]
O 0.4005 0.3072 0.5415 [2 per cell]
O 0.4600 0.4749 0.3215 [2 per cell]
O 0.8203 0.4934 0.5059 [2 per cell]
O 0.8635 0.1840 0.2030 [2 per cell]
O 0.9560 0.0359 0.4362 [2 per cell]
O 0.9560 0.1766 0.7396 [2 per cell]

Main lines, in order of rising 2θ (2θ = 10–90°):
d (Å)	I (rel.)
5.742	84
4.116	100
4.084	66
3.860	70
3.761	78
3.024	55
2.871	57
2.546	52
2.529	29
2.515	26
2.473	27
1.512	23



Entry 6:
This entry pairs a crystal structure of LiCo2P2O9 with its theoretical PXRD pattern. Radiation: copper Kα. Structure: the PBE+U geometry in Alexandria.
No peak broadening, texture or thermal motion is included.

Cell and atoms:
abc: 13.6477 6.0496 7.3671
angles: 90.00 90.00 90.00
Space group Pnma (No. 62)
Unique sites:
Li 0.2254 0.2500 0.0584 [4 per cell]
Co 0.0000 0.0000 0.0000 [4 per cell]
Co 0.1229 0.2500 0.6507 [4 per cell]
P 0.0635 0.7500 0.6442 [4 per cell]
P 0.1947 0.7500 0.0949 [4 per cell]
O 0.0059 0.2500 0.5146 [4 per cell]
O 0.0063 0.7500 0.8322 [4 per cell]
O 0.0405 0.2500 0.8608 [4 per cell]
O 0.1332 0.5361 0.0770 [8 per cell]
O 0.1358 0.5557 0.6445 [8 per cell]
O 0.2178 0.2500 0.4583 [4 per cell]
O 0.2461 0.2500 0.7780 [4 per cell]

Main lines, in order of rising 2θ (2θ = 10–90°):
d (Å)	I (rel.)
6.824	74
6.483	35
5.006	100
4.675	35
4.423	64
3.863	64
3.556	96
2.862	36
2.741	83
2.560	32
2.417	27
1.563	29



Entry 7:
This entry pairs a crystal structure of LiCoP2O7 with its theoretical PXRD pattern. Radiation: copper Kα. Structure: the PBE+U geometry in Alexandria.
No peak broadening, texture or thermal motion is included.

Cell and atoms:
abc: 6.2278 6.4673 6.8829
angles: 85.24 67.48 81.79
Space group P-1 (No. 2)
Unique sites:
Li 0.2108 0.4993 0.3365 [2 per cell]
Co 0.4043 0.8592 0.7139 [2 per cell]
P 0.1588 0.1086 0.1421 [2 per cell]
P 0.2893 0.3671 0.7327 [2 per cell]
O 0.1003 0.8958 0.7119 [2 per cell]
O 0.1063 0.4470 0.6442 [2 per cell]
O 0.1526 0.2920 0.9725 [2 per cell]
O 0.2725 0.9047 0.0308 [2 per cell]
O 0.2863 0.1821 0.2715 [2 per cell]
O 0.4408 0.5304 0.7424 [2 per cell]
O 0.4486 0.1679 0.6184 [2 per cell]

Main lines, in order of rising 2θ (2θ = 10–90°):
d (Å)	I (rel.)
6.398	40
5.711	28
5.369	100
4.541	24
4.441	47
3.178	52
3.074	69
2.943	49
2.894	58
2.822	45
2.417	25
2.286	13



Copy entry 7 word for word.
This entry pairs a crystal structure of LiCoP2O7 with its theoretical PXRD pattern. Radiation: copper Kα. Structure: the PBE+U geometry in Alexandria.
No peak broadening, texture or thermal motion is included.

Cell and atoms:
abc: 6.2278 6.4673 6.8829
angles: 85.24 67.48 81.79
Space group P-1 (No. 2)
Unique sites:
Li 0.2108 0.4993 0.3365 [2 per cell]
Co 0.4043 0.8592 0.7139 [2 per cell]
P 0.1588 0.1086 0.1421 [2 per cell]
P 0.2893 0.3671 0.7327 [2 per cell]
O 0.1003 0.8958 0.7119 [2 per cell]
O 0.1063 0.4470 0.6442 [2 per cell]
O 0.1526 0.2920 0.9725 [2 per cell]
O 0.2725 0.9047 0.0308 [2 per cell]
O 0.2863 0.1821 0.2715 [2 per cell]
O 0.4408 0.5304 0.7424 [2 per cell]
O 0.4486 0.1679 0.6184 [2 per cell]

Main lines, in order of rising 2θ (2θ = 10–90°):
d (Å)	I (rel.)
6.398	40
5.711	28
5.369	100
4.541	24
4.441	47
3.178	52
3.074	69
2.943	49
2.894	58
2.822	45
2.417	25
2.286	13